# 1
This entry pairs a crystal structure of Nd5Sm3Er with its computed powder diffractogram. Radiation: Cu Kα (weighted mean of Kα1 and Kα2). Structure: a crystal structure in Alexandria, relaxed with PBE.
Lines closer than 0.1° are merged.

Principal peaks in the range 2θ = 10–80°, by angle:
2theta  I/Imax  (hkl)
30.46  100  5 1 -2
30.57  72  2 0 -4
30.81  93  2 2 1
31.47  18  5 1 0
32.47  38  4 0 2
34.92  24  2 2 2
37.86  16  4 2 -3
44.43  13  3 1 4
54.28  22  7 1 -6
54.50  17  2 2 -6

Atomic structure:
Cell: 16.679 6.836 11.699 Å, 90.00 110.43 90.00°
Space group C2/c (No. 15)
One atom of each set of equivalent atoms:
Nd 0.000 0.184 0.250 x4
Nd 0.108 0.002 0.048 x8
Nd 0.240 0.106 0.867 x8
Sm 0.000 0.500 0.000 x4
Sm 0.173 0.400 0.355 x8
Er 0.000 0.267 0.750 x4


# 2
This entry pairs a crystal structure of Mg2Cd3Hg2 with its computed powder diffractogram. Radiation: Cu Kα (weighted mean of Kα1 and Kα2). Structure: a crystal structure in Alexandria, relaxed with PBE.
Lines closer than 0.1° are merged.

Principal peaks in the range 2θ = 10–80°, by angle:
2theta  I/Imax  (hkl)
11.78  38  0 4 0
27.97  30  0 0 1
28.37  26  1 3 0
34.18  100  1 7 0
36.97  46  0 8 1
39.32  48  1 1 1
42.10  46  0 14 0
44.73  31  1 7 1
61.39  28  1 15 1
68.90  25  1 7 2

Atomic structure:
Cell: 3.313 30.052 3.190 Å, 90.00 90.00 90.00°
Space group Cmmm (No. 65)
One atom of each set of equivalent atoms:
Mg 0.000 0.141 0.000 x4
Cd 0.000 0.000 0.000 x2
Cd 0.000 0.428 0.500 x4
Hg 0.000 0.293 0.500 x4


# 3
This entry pairs a crystal structure of PuTi7Nb4 with its computed powder diffractogram. Radiation: Cu Kα (weighted mean of Kα1 and Kα2). Structure: a crystal structure in Alexandria, relaxed with PBE.
Lines closer than 0.1° are merged.

Principal peaks in the range 2θ = 10–80°, by angle:
2theta  I/Imax  (hkl)
10.95  22  0 0 2
19.10  25  1 0 -1
19.20  30  1 0 1
22.03  31  1 -1 2
38.36  46  1 1 -4
38.54  59  1 -1 6
38.82  64  -1 1 6
38.87  100  2 -2 0
38.97  46  2 0 2
56.29  17  1 1 8

Atomic structure:
Cell: 5.424 5.455 16.157 Å, 90.93 90.12 116.82°
Space group P1 (No. 1)
One atom of each set of equivalent atoms:
Pu 0.000 0.000 0.000 x1
Pu 0.465 0.475 0.495 x1
Ti 0.108 0.607 0.415 x1
Ti 0.152 0.150 0.335 x1
Ti 0.158 0.161 0.834 x1
Ti 0.334 0.337 0.170 x1
Ti 0.387 0.888 0.092 x1
Ti 0.491 0.490 0.662 x1
Ti 0.501 0.503 0.001 x1
Ti 0.557 0.060 0.923 x1
Ti 0.656 0.661 0.333 x1
Ti 0.663 0.659 0.832 x1
Ti 0.836 0.829 0.169 x1
Ti 0.957 0.957 0.504 x1
Ti 0.958 0.452 0.587 x1
Ti 0.987 0.989 0.671 x1
Nb 0.057 0.563 0.923 x1
Nb 0.150 0.641 0.755 x1
Nb 0.242 0.746 0.253 x1
Nb 0.452 0.959 0.587 x1
Nb 0.604 0.115 0.418 x1
Nb 0.640 0.145 0.756 x1
Nb 0.743 0.242 0.252 x1
Nb 0.892 0.380 0.087 x1


# 4
This entry pairs a crystal structure of La2Ge3Pd4Pt with its computed powder diffractogram. Radiation: Cu Kα (weighted mean of Kα1 and Kα2). Structure: a crystal structure in Alexandria, relaxed with PBE.
Lines closer than 0.1° are merged.

Principal peaks in the range 2θ = 10–80°, by angle:
2theta  I/Imax  (hkl)
32.44  35  1 0 3
33.90  100  1 1 2
42.17  51  2 0 0
44.91  20  1 1 4
47.02  20  1 0 5
54.19  16  2 1 3
59.64  9  1 1 6
61.16  17  2 2 0
64.99  15  2 1 5
71.80  23  3 1 2

Atomic structure:
Cell: 4.286 4.286 10.825 Å, 90.00 90.00 90.00°
Space group P-4m2 (No. 115)
One atom of each set of equivalent atoms:
La 0.000 0.500 0.238 x2
Ge 0.000 0.000 0.000 x1
Ge 0.000 0.500 0.623 x2
Pd 0.000 0.000 0.500 x1
Pd 0.000 0.500 0.849 x2
Pd 0.500 0.500 0.500 x1
Pt 0.500 0.500 0.000 x1


# 5
This entry pairs a crystal structure of KCa2Pb3 with its computed powder diffractogram. Radiation: Cu Kα (weighted mean of Kα1 and Kα2). Structure: a crystal structure in Alexandria, relaxed with PBE.
Lines closer than 0.1° are merged.

Principal peaks in the range 2θ = 10–80°, by angle:
2theta  I/Imax  (hkl)
17.82  37  0 0 3
24.85  39  1 0 0
30.75  100  1 0 3
35.43  37  1 1 0
36.09  13  0 0 6
39.93  22  1 1 3
44.32  12  1 0 6
50.97  13  2 0 0
51.47  18  1 1 6
60.71  29  2 1 3

Atomic structure:
Cell: 3.583 3.583 14.932 Å, 90.00 90.00 90.00°
Space group P4/mmm (No. 123)
One atom of each set of equivalent atoms:
K 0.000 0.000 0.000 x1
Ca 0.000 0.000 0.345 x2
Pb 0.500 0.500 0.186 x2
Pb 0.500 0.500 0.500 x1


# 6
This entry pairs a crystal structure of Pr2Ga2Ge with its computed powder diffractogram. Radiation: Cu Kα (weighted mean of Kα1 and Kα2). Structure: a crystal structure in Alexandria, relaxed with PBE.
Lines closer than 0.1° are merged.

Principal peaks in the range 2θ = 10–80°, by angle:
2theta  I/Imax  (hkl)
28.88  14  0 1 3
31.19  100  1 1 1
32.84  65  1 0 4
36.01  43  1 1 3
38.51  47  0 1 5
42.84  26  2 0 0
44.60  23  0 2 0
56.48  28  1 2 4
58.96  27  2 1 5
63.56  16  2 2 0

Atomic structure:
Cell: 4.221 4.063 14.291 Å, 90.00 90.00 90.00°
Space group Amm2 (No. 38)
One atom of each set of equivalent atoms:
Pr 0.000 0.000 0.000 x2
Pr 0.000 0.000 0.252 x2
Ga 0.500 0.000 0.630 x2
Ga 0.500 0.000 0.824 x2
Ge 0.500 0.000 0.429 x2


# 7
This entry pairs a crystal structure of Y2Ho4Mg with its computed powder diffractogram. Radiation: Cu Kα (weighted mean of Kα1 and Kα2). Structure: a crystal structure in Alexandria, relaxed with PBE.
Lines closer than 0.1° are merged.

Principal peaks in the range 2θ = 10–80°, by angle:
2theta  I/Imax  (hkl)
16.89  62  0 0 2
25.45  35  0 0 3
29.09  36  1 1 0
29.63  64  1 1 -1
30.68  44  2 0 0
32.53  81  1 1 -2
34.15  31  0 0 4
35.07  100  1 1 2
36.88  37  2 0 -3
50.56  46  0 2 0

Atomic structure:
Cell: 5.903 3.612 10.635 Å, 90.00 99.11 90.00°
Space group P2/m (No. 10)
One atom of each set of equivalent atoms:
Y 0.000 0.000 0.000 x1
Y 0.500 0.500 0.000 x1
Ho 0.058 0.500 0.698 x2
Ho 0.424 0.000 0.253 x2
Mg 0.500 0.500 0.500 x1


# 8
This entry pairs a crystal structure of Te with its computed powder diffractogram. Radiation: Cu Kα (weighted mean of Kα1 and Kα2). Structure: a crystal structure in Alexandria, relaxed with PBE.
Lines closer than 0.1° are merged.

Principal peaks in the range 2θ = 10–80°, by angle:
2theta  I/Imax  (hkl)
12.56  38  0 0 1
14.06  37  0 1 1
20.59  100  1 1 1
22.83  95  0 3 1
30.21  63  2 0 0
31.79  48  0 3 2
35.31  48  1 3 2
38.22  60  2 3 1
44.43  38  2 3 2
49.73  41  2 6 0

Atomic structure:
Cell: 5.917 14.021 7.051 Å, 90.00 90.00 90.00°
Space group Pmmn (No. 59, origin choice 2)
One atom of each set of equivalent atoms:
Te 0.250 0.092 0.224 x4
Te 0.250 0.250 0.462 x2
Te 0.250 0.594 0.889 x4
Te 0.250 0.750 0.126 x2


# 9
This entry pairs a crystal structure of ZrTaFe with its computed powder diffractogram. Radiation: Cu Kα (weighted mean of Kα1 and Kα2). Structure: a crystal structure in Alexandria, relaxed with PBE.
Lines closer than 0.1° are merged.

Principal peaks in the range 2θ = 10–80°, by angle:
2theta  I/Imax  (hkl)
20.94  43  1 0 1
25.69  21  0 0 2
33.41  27  2 0 0
34.80  18  1 1 2
38.82  100  1 2 1
39.53  21  2 1 1
41.73  32  0 2 2
42.60  71  2 0 2
63.32  32  3 2 1
73.47  25  2 2 4

Atomic structure:
Cell: 5.364 5.542 6.935 Å, 90.00 90.00 90.00°
Space group Imma (No. 74)
One atom of each set of equivalent atoms:
Zr 0.000 0.250 0.111 x4
Ta 0.000 0.000 0.500 x4
Fe 0.250 0.250 0.750 x4


Copy entry 9 word for word.
This entry pairs a crystal structure of ZrTaFe with its computed powder diffractogram. Radiation: Cu Kα (weighted mean of Kα1 and Kα2). Structure: a crystal structure in Alexandria, relaxed with PBE.
Lines closer than 0.1° are merged.

Principal peaks in the range 2θ = 10–80°, by angle:
2theta  I/Imax  (hkl)
20.94  43  1 0 1
25.69  21  0 0 2
33.41  27  2 0 0
34.80  18  1 1 2
38.82  100  1 2 1
39.53  21  2 1 1
41.73  32  0 2 2
42.60  71  2 0 2
63.32  32  3 2 1
73.47  25  2 2 4

Atomic structure:
Cell: 5.364 5.542 6.935 Å, 90.00 90.00 90.00°
Space group Imma (No. 74)
One atom of each set of equivalent atoms:
Zr 0.000 0.250 0.111 x4
Ta 0.000 0.000 0.500 x4
Fe 0.250 0.250 0.750 x4